# 1
For TbTmZn2, a cell relaxed with GGA-PBE gives the calculated powder X-ray diffraction pattern in this record (a wavelength of 1.5418 Å).
Neutral-atom scattering factors, no anomalous dispersion.

Structural model:
```
TbTmZn2
1.0
5.0056 0.0000 0.0000
0.0000 5.0056 0.0000
0.0000 0.0000 3.5789
Tb Tm Zn
1 1 2
direct
0.0000 0.0000 0.0000
0.5000 0.5000 0.0000
0.0000 0.5000 0.5000
0.5000 0.0000 0.5000
```

Most intense lines, 15 to 90 degrees two-theta, low angle first:
2θ/deg	I (rel.)
25.16	18
35.68	100
35.88	49
51.65	17
63.96	18
64.35	35

***

# 2
For Fe3CoAs, a cell relaxed with GGA-PBE gives the calculated powder X-ray diffraction pattern in this record (a wavelength of 1.5418 Å).
Neutral-atom scattering factors, no anomalous dispersion.

Structural model:
```
Fe3CoAs
1.0
4.3364 0.0000 0.0000
0.0000 4.3364 0.0000
0.0000 0.0000 4.3364
Fe Co As
3 1 1
direct
0.0000 0.0000 0.5000
0.0000 0.5000 0.0000
0.5000 0.0000 0.0000
0.0000 0.0000 0.0000
0.5000 0.5000 0.5000
```

Most intense lines, 15 to 90 degrees two-theta, low angle first:
2θ/deg	I (rel.)
29.12	35
35.87	76
41.65	100
60.37	62
72.26	26
76.03	20

***

# 3
For Cr4InCuSe8, a cell relaxed with GGA-PBE gives the calculated powder X-ray diffraction pattern in this record (a wavelength of 1.5418 Å).
Neutral-atom scattering factors, no anomalous dispersion.

Structural model:
```
Cr4InCuSe8
1.0
0.0000 5.3456 5.3456
5.3456 0.0000 5.3456
5.3456 5.3456 0.0000
Cr In Cu Se
4 1 1 8
direct
0.1205 0.1205 0.1205
0.1205 0.1205 0.6384
0.1205 0.6384 0.1205
0.6384 0.1205 0.1205
0.5000 0.5000 0.5000
0.7500 0.7500 0.7500
0.3481 0.8840 0.8840
0.3596 0.3596 0.3596
0.3596 0.3596 0.9213
0.3596 0.9213 0.3596
0.8840 0.3481 0.8840
0.8840 0.8840 0.3481
0.8840 0.8840 0.8840
0.9213 0.3596 0.3596
```

Most intense lines, 15 to 90 degrees two-theta, low angle first:
2θ/deg	I (rel.)
23.54	31
27.67	48
28.93	48
33.53	61
44.01	46
48.15	100

***

# 4
For Ac4CdPb3, a cell relaxed with GGA-PBE gives the calculated powder X-ray diffraction pattern in this record (a wavelength of 1.5418 Å).
Neutral-atom scattering factors, no anomalous dispersion.

Structural model:
```
Ac4CdPb3
1.0
4.7812 0.0000 0.0000
0.0000 4.9305 0.0000
0.0000 0.0000 12.6106
Ac Cd Pb
4 1 3
direct
0.0000 0.0000 0.0000
0.0000 0.5000 0.4936
0.5000 0.0000 0.7226
0.5000 0.5000 0.2225
0.0000 0.0000 0.2802
0.0000 0.5000 0.7682
0.5000 0.0000 0.4410
0.5000 0.5000 0.9476
```

Most intense lines, 15 to 90 degrees two-theta, low angle first:
2θ/deg	I (rel.)
26.92	100
27.89	22
28.31	32
33.71	74
36.45	27
37.63	25